This entry pairs a crystal structure of Cs3Na3Au2 with its computed X-ray powder pattern. Radiation: λ = 1.5418 Å (Cu Kα). Structure: DFT lattice parameters and positions (PBE).
Neutral-atom scattering factors, no anomalous dispersion.

Top 10 peaks for 2θ = 15–90°, low angle first:
two_theta  intensity
18.0  68.0
22.6  64.0
25.6  78.1
26.1  100.0
27.2  31.2
29.1  99.2
31.6  47.8
34.0  45.2
41.3  76.2
43.4  35.6

```
Cs3Na3Au2
1.0
2.6349 -6.9191 0.0000
2.6349 6.9191 0.0000
0.0000 0.0000 19.6824
Cs Na Au
6 6 4
direct
0.0579 0.9421 0.6069
0.0579 0.9421 0.8931
0.3588 0.6412 0.7500
0.6412 0.3588 0.2500
0.9421 0.0579 0.1069
0.9421 0.0579 0.3931
0.3211 0.6789 0.5347
0.3211 0.6789 0.9653
0.3318 0.6682 0.2500
0.6682 0.3318 0.7500
0.6789 0.3211 0.0347
0.6789 0.3211 0.4653
0.2314 0.7686 0.1114
0.2314 0.7686 0.3886
0.7686 0.2314 0.6114
0.7686 0.2314 0.8886
```